For CaVF4, a structure optimized by DFT (PBE+U) gives the theoretical X-ray diffraction stick pattern in this record (Cu Kα).
No peak broadening, texture or thermal motion is included.

Peak list (10 most intense, 10° ≤ 2θ ≤ 80°, sorted by position)
(hkl)	d_spacing	I (rel.)
2 2 0	3.548	100
0 2 2	2.895	21
2 0 2	2.799	24
2 2 2	2.475	32
2 4 2	1.925	36
4 2 2	1.841	35
4 4 0	1.774	21
0 0 4	1.728	14
0 6 2	1.574	18
2 2 4	1.553	14

Crystal structure
Cell: 9.5453 10.6099 6.9104 Å, 90.00 90.00 90.00°
Space group Fdd2 (No. 43)
One atom of each set of equivalent atoms:
Ca  0.0000  0.0000  0.0000 (multiplicity 8)
V  0.0000  0.0000  0.4980 (multiplicity 8)
F  0.0994  0.0982  0.7363 (multiplicity 16)
F  0.1025  0.0883  0.2632 (multiplicity 16)